(1)
This entry pairs a crystal structure of LuZnPd2 with its theoretical XRD peak list. Radiation: Cu Kα (weighted mean of Kα1 and Kα2). Structure: DFT lattice parameters and positions (PBE).
Kinematic intensities with the Lorentz-polarization factor, no thermal factor.

Cell and atoms:
```
LuZnPd2
1.0
0.000 3.267 3.267
3.267 0.000 3.267
3.267 3.267 0.000
Lu Zn Pd
1 1 2
Direct
0.000 0.000 0.000
0.500 0.500 0.500
0.250 0.250 0.250
0.750 0.750 0.750
```

Principal peaks in the range 2θ from 15° to 90°, by angle:
Position (°2θ), d/Å, intensity
23.58, 3.772, 12
38.99, 2.310, 100
46.07, 1.970, 6
56.32, 1.634, 17
61.90, 1.499, 3
70.62, 1.334, 34
75.62, 1.257, 2
83.74, 1.155, 11
88.54, 1.104, 2

***

(2)
This entry pairs a crystal structure of CuHIO4 with its theoretical XRD peak list. Radiation: Cu Kα (weighted mean of Kα1 and Kα2). Structure: DFT lattice parameters and positions (PBE).
Kinematic intensities with the Lorentz-polarization factor, no thermal factor.

Cell and atoms:
```
CuHIO4
1.0
10.807 0.000 0.000
0.000 6.804 0.000
0.000 0.000 4.898
Cu H I O
4 4 4 16
Direct
0.000 0.000 0.000
0.000 0.500 0.000
0.500 0.000 0.500
0.500 0.500 0.500
0.016 0.250 0.395
0.484 0.750 0.895
0.516 0.250 0.105
0.984 0.750 0.605
0.245 0.250 0.007
0.255 0.750 0.507
0.745 0.250 0.493
0.755 0.750 0.993
0.035 0.250 0.195
0.113 0.750 0.305
0.162 0.048 0.817
0.162 0.452 0.817
0.338 0.548 0.317
0.338 0.952 0.317
0.387 0.250 0.805
0.465 0.750 0.695
0.535 0.250 0.305
0.613 0.750 0.195
0.662 0.048 0.683
0.662 0.452 0.683
0.838 0.548 0.183
0.838 0.952 0.183
0.887 0.250 0.695
0.965 0.750 0.805
```

Principal peaks in the range 2θ from 15° to 90°, by angle:
Position (°2θ), d/Å, intensity
19.90, 4.461, 28
23.85, 3.731, 100
31.06, 2.879, 37
33.14, 2.703, 29
33.57, 2.669, 31
36.70, 2.449, 10
44.83, 2.022, 15
47.91, 1.899, 12
48.82, 1.865, 35
50.29, 1.814, 15
57.95, 1.591, 14
64.77, 1.439, 10

***

(3)
This entry pairs a crystal structure of K2ScPCO7 with its theoretical XRD peak list. Radiation: Cu Kα (weighted mean of Kα1 and Kα2). Structure: DFT lattice parameters and positions (PBE).
Kinematic intensities with the Lorentz-polarization factor, no thermal factor.

Cell and atoms:
```
K2ScPCO7
1.0
5.723 0.000 0.000
0.000 6.911 0.000
-0.168 0.000 9.782
K Sc P C O
4 2 2 2 14
Direct
0.247 0.017 0.234
0.247 0.483 0.234
0.753 0.517 0.766
0.753 0.983 0.766
0.224 0.250 0.639
0.776 0.750 0.361
0.282 0.750 0.567
0.718 0.250 0.433
0.270 0.250 0.903
0.730 0.750 0.097
0.065 0.250 0.840
0.118 0.750 0.437
0.238 0.564 0.651
0.238 0.936 0.651
0.297 0.250 0.030
0.448 0.250 0.817
0.457 0.250 0.480
0.543 0.750 0.520
0.552 0.750 0.183
0.703 0.750 0.970
0.762 0.064 0.349
0.762 0.436 0.349
0.882 0.250 0.563
0.935 0.750 0.160
```

Principal peaks in the range 2θ from 15° to 90°, by angle:
Position (°2θ), d/Å, intensity
15.70, 5.644, 34
20.15, 4.407, 20
22.01, 4.038, 32
23.73, 3.750, 20
24.14, 3.687, 40
31.29, 2.859, 70
31.52, 2.838, 43
31.69, 2.823, 100
31.82, 2.812, 34
40.22, 2.242, 19
45.40, 1.998, 21
53.00, 1.728, 19